Starting from a GGA-PBE-relaxed structure, the powder diffractogram of Rb2TbAg2Te4 was simulated for CuKα.
Peak positions follow from Bragg's law for the DFT cell and can differ from measured ones.

Principal peaks in the range 10° ≤ 2θ ≤ 80°, most intense first:
Position (°2θ), I/Imax
10.50, 100
28.47, 73
30.32, 67
37.39, 48
30.47, 41
40.71, 40
28.03, 33
44.35, 30

```
data_Rb2TbAg2Te4
_cell_length_a 16.511
_cell_length_b 4.432
_cell_length_c 8.883
_cell_angle_alpha 90.00
_cell_angle_beta 108.54
_cell_angle_gamma 90.00
_space_group_name_H-M_alt 'C 1 2/m 1'
_space_group_IT_number 12
_space_group_name_Hall '-C 2y'
loop_
_atom_site_label
_atom_site_type_symbol
_atom_site_fract_x
_atom_site_fract_y
_atom_site_fract_z
Rb1 Rb 0.131 0.000 0.066
Tb1 Tb 0.000 0.000 0.500
Ag1 Ag 0.181 0.500 0.482
Te1 Te 0.013 0.500 0.263
Te2 Te 0.196 0.000 0.691
```